The following is a computed XRD peak list of Pr2Nd3Sn3. It was derived from a DFT-relaxed cell (PBE, Alexandria), using Cu Kα (λ = 1.5418 Å).
Intensities are scaled so that the largest is 100.

Cell and atoms:
a b c (Å): 9.342 9.342 6.869
angles (deg): 90.00 90.00 120.00
Fractional coordinates of all 16 atoms:
Pr 0.333 0.667 0.000
Pr 0.333 0.667 0.500
Pr 0.667 0.333 0.000
Pr 0.667 0.333 0.500
Nd 0.000 0.242 0.250
Nd 0.000 0.758 0.750
Nd 0.242 0.000 0.250
Nd 0.242 0.242 0.750
Nd 0.758 0.000 0.750
Nd 0.758 0.758 0.250
Sn 0.000 0.393 0.750
Sn 0.000 0.607 0.250
Sn 0.393 0.000 0.750
Sn 0.393 0.393 0.250
Sn 0.607 0.000 0.250
Sn 0.607 0.607 0.750

Most intense lines, 2θ from 5° to 70°, in order of rising 2θ:
(0 0 2), 25.9°, d 3.435, I = 18.3
(1 0 2), 28.2°, d 3.162, I = 18.3
(2 1 0), 29.2°, d 3.058, I = 30.7
(2 1 1), 32.0°, d 2.794, I = 100.0
(1 1 2), 32.4°, d 2.767, I = 78.7
(3 0 0), 33.2°, d 2.697, I = 41.6
(2 2 2), 47.1°, d 1.931, I = 19.8
(2 1 3), 49.7°, d 1.833, I = 29.4
(4 0 2), 52.5°, d 1.743, I = 13.3
(5 0 2), 63.6°, d 1.464, I = 17.9